(1)
Na5Ce3Se8: computed powder diffractogram (a wavelength of 1.5418 Å), based on a structure optimized by DFT (PBE).
Kinematic intensities with the Lorentz-polarization factor, no thermal factor.

Peak list (12 most intense, 15 to 90 degrees two-theta, low angle first)
two_theta	I_rel
24.51	15.5
29.75	100.0
39.08	9.3
42.40	37.5
42.74	35.1
44.49	9.4
52.65	19.3
61.78	11.3
69.82	16.0
70.30	14.3
77.57	5.9
77.80	11.3

Atomic structure:
```
data_Na5Ce3Se8
_chemical_formula_sum 'Na5 Ce3 Se8'
_cell_length_a 8.4629
_cell_length_b 8.4629
_cell_length_c 8.4629
_cell_angle_alpha 60.50
_cell_angle_beta 60.50
_cell_angle_gamma 60.50
_symmetry_space_group_name_H-M 'P 1'
_symmetry_Int_Tables_number 1
loop_
_symmetry_equiv_pos_as_xyz
'x,y,z'
loop_
_atom_site_label
_atom_site_type_symbol
_atom_site_fract_x
_atom_site_fract_y
_atom_site_fract_z
_atom_site_occupancy
Na1 Na 0.0000 0.0000 0.0000 1
Na2 Na 0.0000 0.5000 0.5000 1
Na3 Na 0.5000 0.0000 0.5000 1
Na4 Na 0.5000 0.5000 0.0000 1
Na5 Na 0.5000 0.5000 0.5000 1
Ce1 Ce 0.0000 0.0000 0.5000 1
Ce2 Ce 0.0000 0.5000 0.0000 1
Ce3 Ce 0.5000 0.0000 0.0000 1
Se1 Se 0.2297 0.7500 0.7500 1
Se2 Se 0.2452 0.2452 0.2452 1
Se3 Se 0.2500 0.2500 0.7703 1
Se4 Se 0.2500 0.7703 0.2500 1
Se5 Se 0.7500 0.2297 0.7500 1
Se6 Se 0.7500 0.7500 0.2297 1
Se7 Se 0.7548 0.7548 0.7548 1
Se8 Se 0.7703 0.2500 0.2500 1
```


(2)
NaCe6Se8: computed powder diffractogram (a wavelength of 1.5418 Å), based on a structure optimized by DFT (PBE).
Kinematic intensities with the Lorentz-polarization factor, no thermal factor.

Peak list (12 most intense, 15 to 90 degrees two-theta, low angle first)
two_theta	I_rel
21.22	13.8
26.06	4.1
30.18	100.0
33.85	8.5
37.19	6.5
43.21	74.2
45.97	4.5
53.61	26.1
58.30	3.6
62.76	12.1
71.21	33.2
79.25	24.7

Atomic structure:
```
data_NaCe6Se8
_chemical_formula_sum 'Na1 Ce6 Se8'
_cell_length_a 8.3751
_cell_length_b 8.3751
_cell_length_c 8.3751
_cell_angle_alpha 60.00
_cell_angle_beta 60.00
_cell_angle_gamma 60.00
_symmetry_space_group_name_H-M 'P 1'
_symmetry_Int_Tables_number 1
loop_
_symmetry_equiv_pos_as_xyz
'x,y,z'
loop_
_atom_site_label
_atom_site_type_symbol
_atom_site_fract_x
_atom_site_fract_y
_atom_site_fract_z
_atom_site_occupancy
Na1 Na 0.0000 0.0000 0.0000 1
Ce1 Ce 0.0000 0.0000 0.5000 1
Ce2 Ce 0.0000 0.5000 0.0000 1
Ce3 Ce 0.0000 0.5000 0.5000 1
Ce4 Ce 0.5000 0.0000 0.0000 1
Ce5 Ce 0.5000 0.0000 0.5000 1
Ce6 Ce 0.5000 0.5000 0.0000 1
Se1 Se 0.2500 0.2500 0.2500 1
Se2 Se 0.2521 0.2521 0.7479 1
Se3 Se 0.2521 0.7479 0.2521 1
Se4 Se 0.2521 0.7479 0.7479 1
Se5 Se 0.7479 0.2521 0.2521 1
Se6 Se 0.7479 0.2521 0.7479 1
Se7 Se 0.7479 0.7479 0.2521 1
Se8 Se 0.7500 0.7500 0.7500 1
```